No. 1
Starting from the GGA-PBE geometry in Alexandria, the XRD peak list of SmRu2 was simulated for Cu Ka.

Main lines, by angle (2θ = 5–70°):
two_theta	I (rel.)
33.84	37
35.45	83
39.34	100
39.57	13
40.56	69
44.21	10
44.41	10
61.59	31
64.25	21
65.41	29

Cell and atoms:
Cell lengths 5.2974, 5.2974, 9.1104 Å; angles 90.00, 90.00, 120.00 degrees
Sites, in units of the cell vectors:
Sm: 0.3333 0.6667 0.0668
Sm: 0.3333 0.6667 0.4332
Sm: 0.6667 0.3333 0.5668
Sm: 0.6667 0.3333 0.9332
Ru: 0.0000 0.0000 0.0000
Ru: 0.0000 0.0000 0.5000
Ru: 0.1694 0.3387 0.7500
Ru: 0.1694 0.8306 0.7500
Ru: 0.3387 0.1694 0.2500
Ru: 0.6613 0.8306 0.7500
Ru: 0.8306 0.1694 0.2500
Ru: 0.8306 0.6613 0.2500


No. 2
Starting from the GGA-PBE geometry in Alexandria, the XRD peak list of Sm3Sn4Ru2 was simulated for Cu Ka.

Main lines, by angle (2θ = 5–70°):
two_theta	I (rel.)
30.49	49
31.44	100
31.80	65
32.48	31
37.91	57
38.71	23
39.21	60
50.76	18
55.30	16
60.90	16

Cell and atoms:
Cell lengths 6.1070, 6.1070, 8.7359 Å; angles 107.27, 107.27, 45.74 degrees
Sites, in units of the cell vectors:
Sm: 0.0000 0.0000 0.0000
Sm: 0.3716 0.3716 0.3131
Sm: 0.6284 0.6284 0.6869
Sn: 0.0906 0.0906 0.3965
Sn: 0.2909 0.2909 0.9187
Sn: 0.7091 0.7091 0.0813
Sn: 0.9094 0.9094 0.6035
Ru: 0.3180 0.3180 0.6301
Ru: 0.6820 0.6820 0.3699


No. 3
Starting from the GGA-PBE geometry in Alexandria, the XRD peak list of Sm12SnRu5 was simulated for Cu Ka.

Main lines, by angle (2θ = 5–70°):
two_theta	I (rel.)
29.64	29
31.38	100
33.28	66
33.78	86
34.44	66
34.82	34
37.87	35
52.16	29
57.43	24
58.98	36

Cell and atoms:
Cell lengths 8.5767, 8.5767, 8.5767 Å; angles 112.72, 110.41, 105.37 degrees
Sites, in units of the cell vectors:
Sm: 0.0387 0.2291 0.8096
Sm: 0.1785 0.2761 0.4547
Sm: 0.1785 0.7239 0.9024
Sm: 0.3273 0.0134 0.6861
Sm: 0.3273 0.6412 0.3139
Sm: 0.4195 0.2291 0.1904
Sm: 0.5805 0.7709 0.8096
Sm: 0.6727 0.3588 0.6861
Sm: 0.6727 0.9866 0.3139
Sm: 0.8215 0.2761 0.0976
Sm: 0.8215 0.7239 0.5453
Sm: 0.9613 0.7709 0.1904
Sn: 0.5000 0.5000 0.0000
Ru: 0.0000 0.0000 0.0000
Ru: 0.1213 0.6213 0.5000
Ru: 0.3340 0.0000 0.3340
Ru: 0.6660 0.0000 0.6660
Ru: 0.8787 0.3787 0.5000


No. 4
Starting from the GGA-PBE geometry in Alexandria, the XRD peak list of Sm3Sn2Ru2 was simulated for Cu Ka.

Main lines, by angle (2θ = 5–70°):
two_theta	I (rel.)
28.76	29
31.62	52
32.58	69
32.69	72
33.42	64
35.99	94
37.95	100
38.39	43
41.72	28
55.84	31

Cell and atoms:
Cell lengths 5.8265, 8.2841, 14.0677 Å; angles 90.00, 90.00, 90.00 degrees
Sites, in units of the cell vectors:
Sm: 0.1191 0.2222 0.2500
Sm: 0.1191 0.2778 0.7500
Sm: 0.3380 0.5949 0.0930
Sm: 0.3380 0.5949 0.4070
Sm: 0.3380 0.9051 0.5930
Sm: 0.3380 0.9051 0.9070
Sm: 0.6620 0.0949 0.0930
Sm: 0.6620 0.0949 0.4070
Sm: 0.6620 0.4051 0.5930
Sm: 0.6620 0.4051 0.9070
Sm: 0.8809 0.7222 0.2500
Sm: 0.8809 0.7778 0.7500
Sn: 0.1436 0.2500 0.0000
Sn: 0.1436 0.2500 0.5000
Sn: 0.3859 0.6175 0.7500
Sn: 0.3859 0.8825 0.2500
Sn: 0.6141 0.1175 0.7500
Sn: 0.6141 0.3825 0.2500
Sn: 0.8564 0.7500 0.0000
Sn: 0.8564 0.7500 0.5000
Ru: 0.1468 0.5374 0.5910
Ru: 0.1468 0.5374 0.9090
Ru: 0.1468 0.9626 0.0910
Ru: 0.1468 0.9626 0.4090
Ru: 0.8532 0.0374 0.5910
Ru: 0.8532 0.0374 0.9090
Ru: 0.8532 0.4626 0.0910
Ru: 0.8532 0.4626 0.4090


No. 5
Starting from the GGA-PBE geometry in Alexandria, the XRD peak list of Tb3SmRu3 was simulated for Cu Ka.

Main lines, by angle (2θ = 5–70°):
two_theta	I (rel.)
26.23	10
32.25	42
32.34	14
37.44	100
42.06	12
50.21	10
53.99	11
57.53	21
64.26	9
67.49	13

Cell and atoms:
Cell lengths 5.8885, 5.8885, 5.8885 Å; angles 109.54, 109.54, 109.54 degrees
Sites, in units of the cell vectors:
Tb: 0.1953 0.1953 0.6094
Tb: 0.1953 0.6093 0.1953
Tb: 0.6093 0.1953 0.1953
Sm: 0.7821 0.7821 0.7821
Ru: 0.1951 0.6945 0.6945
Ru: 0.6945 0.1951 0.6945
Ru: 0.6945 0.6945 0.1951


No. 6
Starting from the GGA-PBE geometry in Alexandria, the XRD peak list of TbSm3Ru was simulated for Cu Ka.

Main lines, by angle (2θ = 5–70°):
two_theta	I (rel.)
27.82	61
30.53	46
30.92	27
31.44	100
37.25	19
38.27	20
41.19	25
50.33	35
51.23	20
52.13	21

Cell and atoms:
Cell lengths 7.4390, 7.4390, 7.4390 Å; angles 101.55, 119.61, 107.80 degrees
Sites, in units of the cell vectors:
Tb: 0.0249 0.2500 0.2749
Tb: 0.9751 0.7500 0.7251
Sm: 0.0028 0.2913 0.7910
Sm: 0.0028 0.7119 0.2116
Sm: 0.4824 0.2531 0.7293
Sm: 0.5003 0.2119 0.2090
Sm: 0.5003 0.7913 0.7884
Sm: 0.5238 0.7531 0.2707
Ru: 0.0053 0.0016 0.5037
Ru: 0.4979 0.5016 0.4963


No. 7
Starting from the GGA-PBE geometry in Alexandria, the XRD peak list of Sm6TeRu2 was simulated for Cu Ka.

Main lines, by angle (2θ = 5–70°):
two_theta	I (rel.)
9.18	28
27.77	31
27.95	38
31.75	100
31.98	42
33.14	40
34.85	27
35.64	71
38.94	34
39.88	33

Cell and atoms:
Cell lengths 5.7384, 5.7384, 9.7454 Å; angles 97.65, 97.65, 52.08 degrees
Sites, in units of the cell vectors:
Sm: 0.0325 0.0325 0.3303
Sm: 0.2770 0.2770 0.6398
Sm: 0.3413 0.3413 0.1158
Sm: 0.6587 0.6587 0.8842
Sm: 0.7230 0.7230 0.3602
Sm: 0.9675 0.9675 0.6697
Te: 0.0000 0.0000 0.0000
Ru: 0.3983 0.3983 0.3990
Ru: 0.6017 0.6017 0.6010


No. 8
Starting from the GGA-PBE geometry in Alexandria, the XRD peak list of Sm5Te4Ru was simulated for Cu Ka.

Main lines, by angle (2θ = 5–70°):
two_theta	I (rel.)
28.34	58
28.60	100
35.77	14
40.71	77
40.90	32
50.51	35
59.22	9
66.52	18
66.93	12
67.06	9

Cell and atoms:
Cell lengths 7.6556, 7.6556, 7.6556 Å; angles 99.74, 99.74, 131.43 degrees
Sites, in units of the cell vectors:
Sm: 0.0000 0.0000 0.0000
Sm: 0.2413 0.5911 0.8324
Sm: 0.4089 0.2413 0.6502
Sm: 0.5911 0.7587 0.3498
Sm: 0.7587 0.4089 0.1676
Te: 0.0904 0.3086 0.3990
Te: 0.3086 0.9096 0.2182
Te: 0.6914 0.0904 0.7818
Te: 0.9096 0.6914 0.6010
Ru: 0.5000 0.5000 0.0000


No. 9
Starting from the GGA-PBE geometry in Alexandria, the XRD peak list of Sm5Te2Ru was simulated for Cu Ka.

Main lines, by angle (2θ = 5–70°):
two_theta	I (rel.)
23.28	43
27.35	51
28.29	33
29.79	100
32.35	55
34.60	42
34.83	53
38.14	24
41.54	24
46.47	48

Cell and atoms:
Cell lengths 6.7442, 6.7442, 14.8000 Å; angles 90.00, 90.00, 127.19 degrees
Sites, in units of the cell vectors:
Sm: 0.0626 0.9374 0.6231
Sm: 0.0626 0.9374 0.8769
Sm: 0.3012 0.6988 0.2500
Sm: 0.3683 0.6317 0.6143
Sm: 0.3683 0.6317 0.8857
Sm: 0.6317 0.3683 0.1143
Sm: 0.6317 0.3683 0.3857
Sm: 0.6988 0.3012 0.7500
Sm: 0.9374 0.0626 0.1231
Sm: 0.9374 0.0626 0.3769
Te: 0.1903 0.8097 0.0587
Te: 0.1903 0.8097 0.4413
Te: 0.8097 0.1903 0.5587
Te: 0.8097 0.1903 0.9413
Ru: 0.2192 0.7808 0.7500
Ru: 0.7808 0.2192 0.2500


No. 10
Starting from the GGA-PBE geometry in Alexandria, the XRD peak list of SmThTeRu was simulated for Cu Ka.

Main lines, by angle (2θ = 5–70°):
two_theta	I (rel.)
11.67	15
25.03	13
25.95	32
29.35	31
31.68	100
37.26	25
43.52	51
47.25	19
54.82	21
57.37	13

Cell and atoms:
Cell lengths 7.9564, 7.9564, 7.9564 Å; angles 30.30, 30.30, 30.30 degrees
Sites, in units of the cell vectors:
Sm: 0.0000 0.0000 0.0000
Th: 0.8026 0.8026 0.8026
Te: 0.2377 0.2377 0.2377
Ru: 0.4083 0.4083 0.4083


No. 11
Starting from the GGA-PBE geometry in Alexandria, the XRD peak list of Sm3ThRu4 was simulated for Cu Ka.

Main lines, by angle (2θ = 5–70°):
two_theta	I (rel.)
12.71	2
25.48	5
25.58	2
36.39	100
44.97	2
52.34	12
52.56	6
59.11	2
65.44	24
65.58	12

Cell and atoms:
Cell lengths 7.7925, 7.7925, 7.7925 Å; angles 143.01, 143.01, 53.31 degrees
Sites, in units of the cell vectors:
Sm: 0.0000 0.0000 0.0000
Sm: 0.2472 0.2472 0.0000
Sm: 0.7528 0.7528 0.0000
Th: 0.5000 0.5000 0.0000
Ru: 0.1199 0.6199 0.5000
Ru: 0.3801 0.8801 0.5000
Ru: 0.6199 0.1199 0.5000
Ru: 0.8801 0.3801 0.5000


No. 12
Starting from the GGA-PBE geometry in Alexandria, the XRD peak list of Sm2ThRu2 was simulated for Cu Ka.

Main lines, by angle (2θ = 5–70°):
two_theta	I (rel.)
18.75	18
29.41	14
31.83	100
31.97	50
37.55	84
38.03	15
42.29	28
53.75	32
53.97	23
61.68	35

Cell and atoms:
Cell lengths 6.0156, 6.0156, 6.0156 Å; angles 138.38, 119.35, 76.25 degrees
Sites, in units of the cell vectors:
Sm: 0.1914 0.1914 0.0000
Sm: 0.8086 0.8086 0.0000
Th: 0.5000 0.0000 0.5000
Ru: 0.2334 0.5000 0.7334
Ru: 0.7666 0.5000 0.2666